Simulated XRD peak list
Compound: Mn3OF5
Radiation: λ = 1.5418 Å (Cu Kα)
Structure: a GGA+U-relaxed structure
Peak positions follow from Bragg's law for the DFT cell and can differ from measured ones.

The 10 most intense peaks (2θ from 10° to 90°), by angle:
25.92 deg, intensity 100, (1 1 2)
26.07 deg, intensity 97, (1 -1 0)
32.69 deg, intensity 27, (1 2 0)
32.84 deg, intensity 53, (2 1 0)
33.11 deg, intensity 26, (1 0 -2)
50.03 deg, intensity 32, (2 3 2)
50.30 deg, intensity 31, (0 3 0)
50.47 deg, intensity 32, (1 0 4)
55.81 deg, intensity 22, (2 2 -2)
63.97 deg, intensity 23, (1 4 2)

Cell and atoms:
```
data_Mn3OF5
_chemical_formula_sum 'Mn6 O2 F10'
_space_group_name_H-M_alt 'P 1'
_space_group_IT_number 1
_space_group_name_Hall 'P 1'
_cell_length_a 5.8811
_cell_length_b 5.8858
_cell_length_c 7.5918
_cell_angle_alpha 73.49
_cell_angle_beta 72.90
_cell_angle_gamma 71.04
loop_
_atom_site_label
_atom_site_type_symbol
_atom_site_fract_x
_atom_site_fract_y
_atom_site_fract_z
Mn1 Mn 0.0000 0.0000 0.0000
Mn2 Mn 0.0092 0.0204 0.4958
Mn3 Mn 0.3202 0.3356 0.1753
Mn4 Mn 0.3545 0.3494 0.6658
Mn5 Mn 0.6703 0.6571 0.8209
Mn6 Mn 0.6959 0.6410 0.3475
O1 O 0.5797 0.5544 0.6236
O2 O 0.9780 0.3659 0.3352
F1 F 0.0396 0.6504 0.6660
F2 F 0.1258 0.1189 0.6985
F3 F 0.2412 0.2346 0.9633
F4 F 0.3105 0.6980 0.9971
F5 F 0.3954 0.9467 0.3322
F6 F 0.4370 0.4266 0.3701
F7 F 0.6437 0.0270 0.6728
F8 F 0.6883 0.3022 0.0066
F9 F 0.7695 0.7503 0.0454
F10 F 0.9105 0.8980 0.2995
```

Simulated XRD peak list
Compound: CrPb2O5
Radiation: λ = 1.5418 Å (Cu Kα)
Structure: a GGA+U-relaxed structure
Peak positions follow from Bragg's law for the DFT cell and can differ from measured ones.

The 10 most intense peaks (2θ from 10° to 90°), by angle:
13.67 deg, intensity 17, (2 0 0)
25.67 deg, intensity 100, (3 1 0)
29.18 deg, intensity 74, (1 1 -2)
30.04 deg, intensity 19, (4 0 -2)
30.68 deg, intensity 35, (0 2 0)
30.80 deg, intensity 19, (3 1 -2)
43.47 deg, intensity 23, (4 2 -2)
46.92 deg, intensity 20, (2 2 2)
54.85 deg, intensity 21, (5 1 2)
60.53 deg, intensity 21, (7 1 -4)

Cell and atoms:
```
data_CrPb2O5
_chemical_formula_sum 'Cr4 Pb8 O20'
_space_group_name_H-M_alt 'C 1 2/m 1'
_space_group_IT_number 12
_space_group_name_Hall '-C 2y'
_cell_length_a 14.0591
_cell_length_b 5.8285
_cell_length_c 7.2617
_cell_angle_alpha 90.00
_cell_angle_beta 112.84
_cell_angle_gamma 90.00
loop_
_atom_site_label
_atom_site_type_symbol
_atom_site_fract_x
_atom_site_fract_y
_atom_site_fract_z
Cr1 Cr 0.1737 0.0000 0.1564
Pb1 Pb 0.0148 0.5000 0.7597
Pb2 Pb 0.1420 0.0000 0.6067
O1 O 0.0000 0.2529 0.5000
O2 O 0.0993 0.0000 0.9115
O3 O 0.1503 0.2304 0.2687
O4 O 0.2016 0.5000 0.8091
```

Simulated XRD peak list
Compound: FeOF
Radiation: λ = 1.5418 Å (Cu Kα)
Structure: a GGA+U-relaxed structure
Peak positions follow from Bragg's law for the DFT cell and can differ from measured ones.

The 10 most intense peaks (2θ from 10° to 90°), by angle:
26.60 deg, intensity 90, (3 0 -3)
26.84 deg, intensity 86, (3 0 3)
34.70 deg, intensity 100, (3 1 0)
39.67 deg, intensity 18, (3 1 -3)
52.35 deg, intensity 25, (3 1 -6)
52.39 deg, intensity 27, (6 1 -3)
52.64 deg, intensity 50, (6 1 3)
59.85 deg, intensity 17, (0 2 0)
66.67 deg, intensity 26, (0 1 9)
66.76 deg, intensity 29, (9 1 0)

Cell and atoms:
```
data_FeOF
_chemical_formula_sum 'Fe18 O18 F18'
_space_group_name_H-M_alt 'P 1 m 1'
_space_group_IT_number 6
_space_group_name_Hall 'P -2y'
_cell_length_a 14.1472
_cell_length_b 3.0907
_cell_length_c 14.1672
_cell_angle_alpha 90.00
_cell_angle_beta 90.51
_cell_angle_gamma 90.00
loop_
_atom_site_label
_atom_site_type_symbol
_atom_site_fract_x
_atom_site_fract_y
_atom_site_fract_z
Fe1 Fe 0.0000 0.0000 0.0000
Fe2 Fe 0.0001 0.0000 0.3315
Fe3 Fe 0.1605 0.5000 0.4818
Fe4 Fe 0.1679 0.5000 0.1409
Fe5 Fe 0.1699 0.5000 0.8104
Fe6 Fe 0.3339 0.0000 0.6670
Fe7 Fe 0.3393 0.0000 0.0047
Fe8 Fe 0.3503 0.0000 0.3150
Fe9 Fe 0.4972 0.5000 0.1519
Fe10 Fe 0.4999 0.5000 0.4739
Fe11 Fe 0.5002 0.5000 0.8083
Fe12 Fe 0.6444 0.0000 0.3106
Fe13 Fe 0.6598 0.0000 0.0051
Fe14 Fe 0.6662 0.0000 0.6664
Fe15 Fe 0.8309 0.5000 0.8111
Fe16 Fe 0.8324 0.5000 0.1409
Fe17 Fe 0.8355 0.5000 0.4773
Fe18 Fe 0.9990 0.0000 0.6727
O1 O 0.0620 0.5000 0.0528
O2 O 0.0626 0.5000 0.7210
O3 O 0.0640 0.5000 0.3863
O4 O 0.2288 0.0000 0.7549
O5 O 0.2301 0.0000 0.0898
O6 O 0.3944 0.5000 0.7193
O7 O 0.3959 0.5000 0.3828
O8 O 0.4014 0.5000 0.0574
O9 O 0.4367 0.0000 0.2129
O10 O 0.5572 0.0000 0.0923
O11 O 0.5616 0.0000 0.7558
O12 O 0.5633 0.0000 0.4230
O13 O 0.5924 0.5000 0.2478
O14 O 0.7239 0.5000 0.0563
O15 O 0.7284 0.5000 0.7191
O16 O 0.8936 0.0000 0.4217
O17 O 0.8938 0.0000 0.7576
O18 O 0.8949 0.0000 0.0886
F1 F 0.0970 0.0000 0.2196
F2 F 0.0968 0.0000 0.5565
F3 F 0.0975 0.0000 0.8879
F4 F 0.2327 0.0000 0.4204
F5 F 0.2624 0.5000 0.5841
F6 F 0.2631 0.5000 0.2554
F7 F 0.2668 0.5000 0.9240
F8 F 0.4297 0.0000 0.5542
F9 F 0.4299 0.0000 0.8881
F10 F 0.5943 0.5000 0.9227
F11 F 0.5962 0.5000 0.5885
F12 F 0.7247 0.5000 0.3824
F13 F 0.7624 0.0000 0.8886
F14 F 0.7630 0.0000 0.5518
F15 F 0.7660 0.0000 0.2240
F16 F 0.9299 0.5000 0.9210
F17 F 0.9315 0.5000 0.2540
F18 F 0.9313 0.5000 0.5894
```

Simulated XRD peak list
Compound: VZnGe2O6
Radiation: λ = 1.5418 Å (Cu Kα)
Structure: a GGA+U-relaxed structure
Peak positions follow from Bragg's law for the DFT cell and can differ from measured ones.

The 10 most intense peaks (2θ from 10° to 90°), by angle:
25.58 deg, intensity 67, (0 2 1)
26.40 deg, intensity 64, (2 2 0)
28.64 deg, intensity 93, (2 2 -1)
29.19 deg, intensity 100, (3 1 0)
29.77 deg, intensity 54, (3 1 -1)
33.37 deg, intensity 96, (1 3 -1)
34.37 deg, intensity 68, (2 2 1)
34.57 deg, intensity 76, (0 0 2)
54.23 deg, intensity 46, (5 3 -1)
62.99 deg, intensity 49, (5 3 1)

Cell and atoms:
```
data_VZnGe2O6
_chemical_formula_sum 'V4 Zn4 Ge8 O24'
_space_group_name_H-M_alt 'C 1 2/c 1'
_space_group_IT_number 15
_space_group_name_Hall '-C 2yc'
_cell_length_a 10.1015
_cell_length_b 9.3951
_cell_length_c 5.4003
_cell_angle_alpha 90.00
_cell_angle_beta 106.05
_cell_angle_gamma 90.00
loop_
_atom_site_label
_atom_site_type_symbol
_atom_site_fract_x
_atom_site_fract_y
_atom_site_fract_z
V1 V 0.0000 0.0925 0.2500
Zn1 Zn 0.0000 0.2509 0.7500
Ge1 Ge 0.1986 0.4104 0.2533
O1 O 0.1154 0.2563 0.1078
O2 O 0.1185 0.0878 0.6480
O3 O 0.1427 0.4419 0.5373
```

Simulated XRD peak list
Compound: Li2CrFeO4
Radiation: λ = 1.5418 Å (Cu Kα)
Structure: a GGA+U-relaxed structure
Peak positions follow from Bragg's law for the DFT cell and can differ from measured ones.

The 10 most intense peaks (2θ from 10° to 90°), by angle:
18.22 deg, intensity 100, (2 0 0)
35.51 deg, intensity 41, (1 3 -1)
37.13 deg, intensity 12, (1 3 1)
43.08 deg, intensity 80, (2 0 2)
47.10 deg, intensity 9, (3 3 1)
56.91 deg, intensity 9, (5 3 -1)
62.37 deg, intensity 14, (5 3 1)
62.51 deg, intensity 7, (6 0 -2)
62.69 deg, intensity 22, (1 3 -3)
65.85 deg, intensity 9, (1 3 3)

Cell and atoms:
```
data_Li2CrFeO4
_chemical_formula_sum 'Li12 Cr6 Fe6 O24'
_space_group_name_H-M_alt 'C 1 2 1'
_space_group_IT_number 5
_space_group_name_Hall 'C 2y'
_cell_length_a 9.8823
_cell_length_b 8.8911
_cell_length_c 5.1340
_cell_angle_alpha 90.00
_cell_angle_beta 99.80
_cell_angle_gamma 90.00
loop_
_atom_site_label
_atom_site_type_symbol
_atom_site_fract_x
_atom_site_fract_y
_atom_site_fract_z
Li1 Li 0.2483 0.0000 0.2496
Li2 Li 0.2504 0.1687 0.7497
Li3 Li 0.2496 0.3338 0.2448
Cr1 Cr 0.0000 0.1644 0.0000
Cr2 Cr 0.0000 0.6697 0.5000
Cr3 Cr 0.0000 0.9988 0.5000
Fe1 Fe 0.0000 0.3343 0.5000
Fe2 Fe 0.0000 0.5034 0.0000
Fe3 Fe 0.0000 0.8340 0.0000
O1 O 0.1108 0.8336 0.3640
O2 O 0.1110 0.9978 0.8717
O3 O 0.1132 0.1659 0.3696
O4 O 0.1125 0.6708 0.8707
O5 O 0.1140 0.3322 0.8722
O6 O 0.1151 0.5022 0.3724
```

Simulated XRD peak list
Compound: LiFeF4
Radiation: λ = 1.5418 Å (Cu Kα)
Structure: a GGA+U-relaxed structure
Peak positions follow from Bragg's law for the DFT cell and can differ from measured ones.

The 10 most intense peaks (2θ from 10° to 90°), by angle:
15.43 deg, intensity 17, (0 2 1)
19.37 deg, intensity 100, (0 4 0)
20.81 deg, intensity 40, (1 1 -1)
22.46 deg, intensity 36, (1 2 -1)
23.08 deg, intensity 86, (1 2 1)
24.17 deg, intensity 14, (0 0 2)
24.98 deg, intensity 22, (1 3 -1)
31.76 deg, intensity 19, (0 6 1)
35.94 deg, intensity 13, (1 4 2)
52.51 deg, intensity 13, (2 2 3)

Cell and atoms:
```
data_LiFeF4
_chemical_formula_sum 'Li8 Fe8 F32'
_space_group_name_H-M_alt 'P 1 21/c 1'
_space_group_IT_number 14
_space_group_name_Hall '-P 2ybc'
_cell_length_a 5.3294
_cell_length_b 18.3282
_cell_length_c 7.3696
_cell_angle_alpha 90.00
_cell_angle_beta 91.97
_cell_angle_gamma 90.00
loop_
_atom_site_label
_atom_site_type_symbol
_atom_site_fract_x
_atom_site_fract_y
_atom_site_fract_z
Li1 Li 0.1131 0.0539 0.3495
Li2 Li 0.3663 0.6791 0.2529
Fe1 Fe 0.1564 0.1296 0.9943
Fe2 Fe 0.3498 0.6284 0.8849
F1 F 0.0807 0.6260 0.3131
F2 F 0.1087 0.6529 0.6819
F3 F 0.1453 0.5480 0.9384
F4 F 0.2469 0.7103 0.0122
F5 F 0.2560 0.0383 0.0732
F6 F 0.3510 0.2033 0.1025
F7 F 0.3873 0.1280 0.7847
F8 F 0.4212 0.1068 0.4170
```